1.
CaSF: simulated powder diffraction line list (λ = 1.5418 Å (Cu Kα)), based on DFT lattice parameters and positions (PBE).
Kinematic intensities with the Lorentz-polarization factor, no thermal factor.

```
data_CaSF
_space_group_name_H-M_alt 'C m c e'
_space_group_IT_number 64
_space_group_name_Hall '-C 2ac 2'
_cell_length_a 12.5679
_cell_length_b 5.8082
_cell_length_c 5.7944
_cell_angle_alpha 90.00
_cell_angle_beta 90.00
_cell_angle_gamma 90.00
loop_
_atom_site_label
_atom_site_fract_x
_atom_site_fract_y
_atom_site_fract_z
_atom_site_occupancy
Ca1 0.1493 0.0000 0.0000 1
S1 0.0000 0.1283 0.3713 1
F1 0.2500 0.2366 0.7500 1
```

Main lines, by intensity (10 to 90 degrees two-theta):
2θ = 30.50°, d 2.931, I 100; 2θ = 42.41°, d 2.131, I 37; 2θ = 44.16°, d 2.051, I 20; 2θ = 54.00°, d 1.698, I 14; 2θ = 73.85°, d 1.283, I 13; 2θ = 37.48°, d 2.400, I 13; 2θ = 50.31°, d 1.814, I 12; 2θ = 50.21°, d 1.817, I 12



2.
Cs6HAu2Se: simulated powder diffraction line list (λ = 1.5418 Å (Cu Kα)), based on DFT lattice parameters and positions (PBE).
Kinematic intensities with the Lorentz-polarization factor, no thermal factor.

```
data_Cs6HAu2Se
_space_group_name_H-M_alt 'P 1 21/c 1'
_space_group_IT_number 14
_cell_length_a 8.6630
_cell_length_b 9.2117
_cell_length_c 14.8940
_cell_angle_alpha 90.00
_cell_angle_beta 121.74
_cell_angle_gamma 90.00
loop_
_space_group_symop_operation_xyz
'x,y,z'
'-x,-y,-z'
'-x,y+1/2,-z+1/2'
'x,-y+1/2,z+1/2'
loop_
_atom_site_label
_atom_site_fract_x
_atom_site_fract_y
_atom_site_fract_z
_atom_site_occupancy
Cs1 0.1192 0.1965 0.4384 1
Cs2 0.2321 0.6876 0.4311 1
Cs3 0.3700 0.0488 0.2400 1
H1 0.0000 0.0000 0.0000 1
Au1 0.2012 0.0857 0.7383 1
Se1 0.5000 0.0000 0.5000 1
```

Main lines, by intensity (10 to 90 degrees two-theta):
2θ = 23.40°, d 3.802, I 100; 2θ = 23.89°, d 3.725, I 97; 2θ = 25.69°, d 3.468, I 80; 2θ = 24.05°, d 3.700, I 76; 2θ = 22.75°, d 3.909, I 72; 2θ = 24.18°, d 3.681, I 64; 2θ = 36.42°, d 2.467, I 52; 2θ = 28.32°, d 3.152, I 50



3.
CsErBS4: simulated powder diffraction line list (λ = 1.5418 Å (Cu Kα)), based on DFT lattice parameters and positions (PBE).
Kinematic intensities with the Lorentz-polarization factor, no thermal factor.

```
data_CsErBS4
_space_group_name_H-M_alt 'P 1 21/m 1'
_space_group_IT_number 11
_cell_length_a 6.5771
_cell_length_b 5.5256
_cell_length_c 9.7046
_cell_angle_alpha 90.00
_cell_angle_beta 102.14
_cell_angle_gamma 90.00
loop_
_space_group_symop_operation_xyz
'x,y,z'
'-x,-y,-z'
'-x,y+1/2,-z'
'x,-y+1/2,z'
loop_
_atom_site_label
_atom_site_fract_x
_atom_site_fract_y
_atom_site_fract_z
_atom_site_occupancy
Cs1 0.2478 0.2500 0.4656 1
Er1 0.2515 0.2500 0.9519 1
B1 0.2442 0.7500 0.1561 1
S1 0.0600 0.7500 0.2799 1
S2 0.1196 0.7500 0.9591 1
S3 0.4721 0.5056 0.1928 1
```

Main lines, by intensity (10 to 90 degrees two-theta):
2θ = 21.20°, d 4.191, I 100; 2θ = 30.33°, d 2.947, I 50; 2θ = 26.38°, d 3.379, I 48; 2θ = 30.12°, d 2.967, I 44; 2θ = 18.71°, d 4.744, I 41; 2θ = 37.68°, d 2.387, I 33; 2θ = 43.17°, d 2.095, I 29; 2θ = 45.38°, d 1.998, I 27